Simulated XRD peak list
Compound: Cs3Li2AlMo4O16
Radiation: Cu Kα (λ = 1.5418 Å)
Structure: a cell relaxed with GGA+U
No peak broadening, texture or thermal motion is included.

Main lines, in order of rising 2θ (10° ≤ 2θ ≤ 80°):
d (Å), I_rel
3.974, 52
3.950, 23
3.355, 100
3.345, 43
2.809, 11
2.795, 12
2.674, 29
2.038, 18
2.027, 13
1.933, 13

Structural model:
```
data_Cs3Li2AlMo4O16
_chemical_formula_sum 'Cs6 Li4 Al2 Mo8 O32'
_cell_length_a 10.8617
_cell_length_b 10.8617
_cell_length_c 10.8617
_cell_angle_alpha 109.28
_cell_angle_beta 109.28
_cell_angle_gamma 109.85
_symmetry_space_group_name_H-M 'P 1'
_symmetry_Int_Tables_number 1
_symmetry_space_group_name_Hall 'P 1'
loop_
_atom_site_label
_atom_site_type_symbol
_atom_site_fract_x
_atom_site_fract_y
_atom_site_fract_z
_atom_site_occupancy
Cs1 Cs 0.0000 0.0000 0.0000 1
Cs2 Cs 0.2301 0.1250 0.6051 1
Cs3 Cs 0.3750 0.7699 0.8949 1
Cs4 Cs 0.5199 0.6250 0.3949 1
Cs5 Cs 0.7500 0.2500 0.5000 1
Cs6 Cs 0.8750 0.4801 0.1051 1
Li1 Li 0.0003 0.6250 0.8753 1
Li2 Li 0.3750 0.2503 0.3753 1
Li3 Li 0.7497 0.1250 0.1247 1
Li4 Li 0.8750 0.9997 0.6247 1
Al1 Al 0.2500 0.7500 0.5000 1
Al2 Al 0.5000 0.5000 0.0000 1
Mo1 Mo 0.1257 0.3815 0.4365 1
Mo2 Mo 0.1315 0.3757 0.9365 1
Mo3 Mo 0.3108 0.8743 0.2558 1
Mo4 Mo 0.4392 0.1950 0.0635 1
Mo5 Mo 0.6185 0.0550 0.7442 1
Mo6 Mo 0.6243 0.5608 0.7558 1
Mo7 Mo 0.8050 0.8685 0.2442 1
Mo8 Mo 0.9450 0.6892 0.5635 1
O1 O 0.0054 0.6366 0.7014 1
O2 O 0.0165 0.4496 0.8715 1
O3 O 0.0540 0.1852 0.7986 1
O4 O 0.0940 0.7563 0.5117 1
O5 O 0.1269 0.3789 0.5979 1
O6 O 0.1289 0.3769 0.0979 1
O7 O 0.1719 0.8004 0.0669 1
O8 O 0.1996 0.2665 0.3715 1
O9 O 0.2437 0.7554 0.3377 1
O10 O 0.2446 0.5823 0.4883 1
O11 O 0.2790 0.0310 0.9021 1
O12 O 0.3323 0.4946 0.9883 1
O13 O 0.3634 0.0648 0.3688 1
O14 O 0.3866 0.2554 0.2014 1
O15 O 0.4177 0.9060 0.6623 1
O16 O 0.4710 0.8731 0.2520 1
O17 O 0.5054 0.4937 0.8377 1
O18 O 0.5063 0.3440 0.0117 1
O19 O 0.5504 0.4219 0.5669 1
O20 O 0.5781 0.1450 0.1285 1
O21 O 0.6211 0.2190 0.7480 1
O22 O 0.6231 0.7210 0.7520 1
O23 O 0.6560 0.6677 0.1623 1
O24 O 0.6960 0.9946 0.6312 1
O25 O 0.7335 0.1050 0.9331 1
O26 O 0.7446 0.9460 0.1312 1
O27 O 0.7810 0.5290 0.4021 1
O28 O 0.8148 0.6134 0.8688 1
O29 O 0.8550 0.9835 0.4331 1
O30 O 0.8950 0.8281 0.6285 1
O31 O 0.9352 0.3040 0.2986 1
O32 O 0.9690 0.8711 0.2480 1
```